Record 1
Pu2TlSb2: calculated PXRD pattern (copper Kα), based on a structure optimized by DFT (GGA-PBE).
No peak broadening, texture or thermal motion is included.

Principal peaks in the range 2θ = 5–70°, most intense first:
two_theta, I (rel.)
33.01, 100
34.26, 68
23.61, 42
59.76, 28
44.04, 28
48.31, 26
58.95, 23
68.92, 23

```
Pu2TlSb2
1.0
5.4275 0.0000 0.0000
-2.7138 4.7004 0.0000
0.0000 0.0000 6.3019
Pu Tl Sb
2 1 2
Cartesian
0.0000 3.1336 1.5131 Pu
2.7138 1.5668 4.7888 Pu
0.0000 0.0000 0.0000 Tl
0.0000 3.1336 4.6192 Sb
2.7138 1.5668 1.6826 Sb
```



Record 2
ZnSiO2: calculated PXRD pattern (copper Kα), based on a structure optimized by DFT (GGA-PBE).
No peak broadening, texture or thermal motion is included.

Principal peaks in the range 2θ = 5–70°, most intense first:
two_theta, I (rel.)
33.44, 100
59.78, 35
39.44, 27
48.02, 9
63.82, 7
41.27, 4
20.30, 3
52.64, 1

```
ZnSiO2
1.0
0.0000 3.7891 3.7891
3.7891 0.0000 3.7891
3.7891 3.7891 0.0000
Zn Si O
2 2 4
Cartesian
0.9473 0.9473 0.9473 Zn
6.6310 6.6310 6.6310 Zn
2.8419 2.8419 2.8419 Si
4.7364 4.7364 4.7364 Si
3.7891 1.8946 1.8946 O
1.8946 3.7891 1.8946 O
1.8946 1.8946 3.7891 O
3.7891 3.7891 3.7891 O
```